Simulated powder diffraction line list
Compound: Ce12Co6Ir
Radiation: Cu Kα (weighted mean of Kα1 and Kα2)
Structure: the PBE geometry in Alexandria

Principal peaks in the range 2θ = 5–70°, by intensity:
2θ (°)	intensity
27.89	100
38.10	86
41.54	82
35.71	56
24.76	48
30.81	38
55.55	26
23.10	23
58.36	17
44.38	17
55.15	14
57.62	14

Structural model:
```
Ce12Co6Ir
1.0
5.752 3.321 4.045
-5.752 3.321 4.045
0.000 -6.642 4.045
Ce Co Ir
12 6 1
direct
0.046 0.657 0.921
0.079 0.954 0.343
0.189 0.402 0.578
0.343 0.079 0.954
0.402 0.578 0.189
0.422 0.811 0.598
0.578 0.189 0.402
0.598 0.422 0.811
0.657 0.921 0.046
0.811 0.598 0.422
0.921 0.046 0.657
0.954 0.343 0.079
0.128 0.621 0.320
0.320 0.128 0.621
0.379 0.680 0.872
0.621 0.320 0.128
0.680 0.872 0.379
0.872 0.379 0.680
0.000 0.000 0.000
```